# HfAlTe
Calculated PXRD pattern, copper Kα. Input: a cell relaxed with GGA-PBE.
Kinematic intensities with the Lorentz-polarization factor, no thermal factor.

Crystal structure
Cell lengths 3.876, 3.876, 8.787 Å; angles 90.00, 90.00, 90.00 degrees
Space group P4/nmm (No. 129, origin choice 2)
Symmetry-distinct sites (fractional):
Hf1 0.250 0.250 0.242 x2
Al1 0.250 0.750 0.500 x2
Te1 0.250 0.250 0.876 x2

Main lines, low angle first (2θ from 10° to 90°):
10.07 deg, I = 40, hkl 0 0 1
32.67 deg, I = 84, hkl 1 1 0
38.53 deg, I = 100, hkl 1 0 3
38.72 deg, I = 58, hkl 1 1 2
46.88 deg, I = 44, hkl 2 0 0
62.23 deg, I = 49, hkl 2 1 3



# AlRu3
Calculated PXRD pattern, copper Kα. Input: a cell relaxed with GGA-PBE.
Kinematic intensities with the Lorentz-polarization factor, no thermal factor.

Crystal structure
Cell lengths 2.843, 2.843, 6.815 Å; angles 90.00, 90.00, 90.00 degrees
Space group P4/mmm (No. 123)
Symmetry-distinct sites (fractional):
Al1 0.000 0.000 0.000 x1
Ru1 0.000 0.000 0.500 x1
Ru2 0.500 0.500 0.237 x2

Main lines, low angle first (2θ from 10° to 90°):
12.99 deg, I = 14, hkl 0 0 1
34.18 deg, I = 13, hkl 1 0 1
41.36 deg, I = 100, hkl 1 0 2
45.10 deg, I = 39, hkl 1 1 0
72.76 deg, I = 17, hkl 1 1 4
80.67 deg, I = 27, hkl 2 1 2



# Ce2PrNd
Calculated PXRD pattern, copper Kα. Input: a cell relaxed with GGA-PBE.
Kinematic intensities with the Lorentz-polarization factor, no thermal factor.

Crystal structure
Cell lengths 3.522, 3.522, 10.375 Å; angles 90.00, 90.00, 90.00 degrees
Space group P4/mmm (No. 123)
Symmetry-distinct sites (fractional):
Ce1 0.000 0.000 0.249 x2
Pr1 0.500 0.500 0.500 x1
Nd1 0.500 0.500 0.000 x1

Main lines, low angle first (2θ from 10° to 90°):
30.68 deg, I = 100, hkl 1 0 2
34.58 deg, I = 18, hkl 0 0 4
36.06 deg, I = 32, hkl 1 1 0
50.82 deg, I = 24, hkl 1 1 4
59.56 deg, I = 15, hkl 1 0 6
61.53 deg, I = 27, hkl 2 1 2



# TbTm4Th
Calculated PXRD pattern, copper Kα. Input: a cell relaxed with GGA-PBE.
Kinematic intensities with the Lorentz-polarization factor, no thermal factor.

Crystal structure
Cell lengths 3.519, 6.087, 9.303 Å; angles 77.28, 79.10, 73.28 degrees
Space group P-1 (No. 2)
Symmetry-distinct sites (fractional):
Tb1 0.000 0.000 0.000 x1
Tm1 0.333 0.504 0.830 x2
Tm2 0.333 0.996 0.338 x2
Th1 0.000 0.500 0.500 x1

Main lines, low angle first (2θ from 10° to 90°):
31.15 deg, I = 100, hkl 1 0 2
36.12 deg, I = 51, hkl 1 2 2
52.00 deg, I = 30, hkl 2 1 1
61.87 deg, I = 25, hkl 2 3 1
64.96 deg, I = 12, hkl 2 0 4
84.99 deg, I = 14, hkl 3 2 0



# Hg6As2Br2Cl
Calculated PXRD pattern, copper Kα. Input: a cell relaxed with GGA-PBE.
Kinematic intensities with the Lorentz-polarization factor, no thermal factor.

Crystal structure
Cell lengths 5.737, 8.248, 9.011 Å; angles 114.09, 101.03, 97.98 degrees
Space group P-1 (No. 2)
Symmetry-distinct sites (fractional):
Hg1 0.177 0.206 0.376 x2
Hg2 0.288 0.750 0.127 x2
Hg3 0.295 0.392 0.078 x2
As1 0.224 0.052 0.078 x2
Br1 0.128 0.406 0.664 x2
Cl1 0.500 0.000 0.500 x1

Main lines, low angle first (2θ from 10° to 90°):
11.18 deg, I = 42, hkl 0 0 1
20.25 deg, I = 53, hkl 1 1 -1
22.16 deg, I = 68, hkl 1 0 1
23.87 deg, I = 25, hkl 1 1 -2
32.78 deg, I = 32, hkl 2 0 0
33.46 deg, I = 100, hkl 1 0 -3



# NaSi5Pd7
Calculated PXRD pattern, copper Kα. Input: a cell relaxed with GGA-PBE.
Kinematic intensities with the Lorentz-polarization factor, no thermal factor.

Crystal structure
Cell lengths 5.189, 8.727, 8.650 Å; angles 90.00, 90.00, 90.00 degrees
Space group Imm2 (No. 44)
Symmetry-distinct sites (fractional):
Na1 0.000 0.000 0.000 x2
Si1 0.000 0.500 0.269 x2
Si2 0.241 0.259 0.743 x8
Pd1 0.000 0.000 0.335 x2
Pd2 0.000 0.000 0.669 x2
Pd3 0.000 0.299 0.473 x4
Pd4 0.000 0.337 0.021 x4
Pd5 0.000 0.500 0.728 x2

Main lines, low angle first (2θ from 10° to 90°):
29.07 deg, I = 68, hkl 0 2 2
34.57 deg, I = 77, hkl 2 0 0
35.37 deg, I = 72, hkl 1 3 0
41.25 deg, I = 67, hkl 1 3 2
41.38 deg, I = 67, hkl 0 4 0
45.78 deg, I = 100, hkl 2 2 2



# Ho4B6O15
Calculated PXRD pattern, copper Kα. Input: a cell relaxed with GGA-PBE.
Kinematic intensities with the Lorentz-polarization factor, no thermal factor.

Crystal structure
Cell lengths 11.711, 4.397, 18.890 Å; angles 90.00, 96.42, 90.00 degrees
Space group C2/c (No. 15)
Symmetry-distinct sites (fractional):
Ho1 0.134 0.198 0.099 x8
Ho2 0.137 0.210 0.303 x8
B1 0.068 0.273 0.694 x8
B2 0.097 0.294 0.913 x8
B3 0.169 0.191 0.474 x8
O1 0.000 0.133 0.750 x4
O2 0.014 0.176 0.622 x8
O3 0.066 0.401 0.197 x8
O4 0.085 0.373 0.429 x8
O5 0.127 0.120 0.979 x8
O6 0.181 0.258 0.861 x8
O7 0.182 0.133 0.703 x8
O8 0.208 0.297 0.549 x8

Main lines, low angle first (2θ from 10° to 90°):
22.31 deg, I = 54, hkl 1 1 1
22.98 deg, I = 33, hkl 2 0 -4
25.69 deg, I = 27, hkl 2 0 4
30.72 deg, I = 100, hkl 4 0 0
31.63 deg, I = 49, hkl 1 1 -5
32.92 deg, I = 49, hkl 1 1 5



# AcAlS
Calculated PXRD pattern, copper Kα. Input: a cell relaxed with GGA-PBE.
Kinematic intensities with the Lorentz-polarization factor, no thermal factor.

Crystal structure
Cell lengths 4.172, 4.172, 20.731 Å; angles 90.00, 90.00, 90.00 degrees
Space group I4/mmm (No. 139)
Symmetry-distinct sites (fractional):
Ac1 0.000 0.000 0.160 x4
Al1 0.000 0.000 0.435 x4
S1 0.000 0.000 0.308 x4

Main lines, low angle first (2θ from 10° to 90°):
17.11 deg, I = 29, hkl 0 0 4
24.93 deg, I = 100, hkl 1 0 3
30.30 deg, I = 67, hkl 1 1 0
37.23 deg, I = 39, hkl 1 0 7
40.19 deg, I = 34, hkl 1 1 6
50.68 deg, I = 32, hkl 2 1 3